[1]
Diffraction record for SrAcCd2. The powder diffractogram is simulated, not measured: it uses DFT lattice parameters and positions (GGA-PBE) and Cu Kα X-rays.
No peak broadening, texture or thermal motion is included.

Structure:
```
data_SrAcCd2
_symmetry_space_group_name_H-M 'P 1'
_symmetry_Int_Tables_number 1
_cell_length_a 5.771
_cell_length_b 5.771
_cell_length_c 5.771
_cell_angle_alpha 60.00
_cell_angle_beta 60.00
_cell_angle_gamma 60.00
loop_
_symmetry_equiv_pos_as_xyz
'x,y,z'
loop_
_atom_site_label
_atom_site_type_symbol
_atom_site_fract_x
_atom_site_fract_y
_atom_site_fract_z
Sr1 Sr 0.000 0.000 0.000
Ac1 Ac 0.500 0.500 0.500
Cd1 Cd 0.250 0.250 0.250
Cd2 Cd 0.750 0.750 0.750
```

Peak list (10 most intense, 2θ = 15–90°, by angle)
2theta  I/Imax
18.8  13
31.0  100
36.5  8
44.4  19
48.6  4
55.1  39
64.6  12
73.4  17
81.8  4
90.0  21



[2]
Diffraction record for YBe13. The powder diffractogram is simulated, not measured: it uses DFT lattice parameters and positions (GGA-PBE) and Cu Kα X-rays.
No peak broadening, texture or thermal motion is included.

Structure:
```
data_YBe13
_symmetry_space_group_name_H-M 'P 1'
_symmetry_Int_Tables_number 1
_cell_length_a 7.202
_cell_length_b 7.202
_cell_length_c 7.202
_cell_angle_alpha 60.00
_cell_angle_beta 60.00
_cell_angle_gamma 60.00
loop_
_symmetry_equiv_pos_as_xyz
'x,y,z'
loop_
_atom_site_label
_atom_site_type_symbol
_atom_site_fract_x
_atom_site_fract_y
_atom_site_fract_z
Y1 Y 0.250 0.250 0.250
Y2 Y 0.750 0.750 0.750
Be1 Be 0.000 0.000 0.000
Be2 Be 0.063 0.290 0.710
Be3 Be 0.063 0.710 0.937
Be4 Be 0.063 0.937 0.290
Be5 Be 0.210 0.437 0.790
Be6 Be 0.210 0.563 0.437
Be7 Be 0.210 0.790 0.563
Be8 Be 0.290 0.063 0.937
Be9 Be 0.290 0.710 0.063
Be10 Be 0.290 0.937 0.710
Be11 Be 0.437 0.210 0.563
Be12 Be 0.437 0.563 0.790
Be13 Be 0.437 0.790 0.210
Be14 Be 0.500 0.500 0.500
Be15 Be 0.563 0.210 0.790
Be16 Be 0.563 0.437 0.210
Be17 Be 0.563 0.790 0.437
Be18 Be 0.710 0.063 0.290
Be19 Be 0.710 0.290 0.937
Be20 Be 0.710 0.937 0.063
Be21 Be 0.790 0.210 0.437
Be22 Be 0.790 0.437 0.563
Be23 Be 0.790 0.563 0.210
Be24 Be 0.937 0.063 0.710
Be25 Be 0.937 0.290 0.063
Be26 Be 0.937 0.710 0.290
```

Peak list (10 most intense, 2θ = 15–90°, by angle)
2theta  I/Imax
17.4  76
24.7  100
30.4  47
35.2  24
39.6  80
43.5  72
57.2  28
66.2  18
69.0  29
77.2  21



[3]
Diffraction record for TmIn2Sn. The powder diffractogram is simulated, not measured: it uses DFT lattice parameters and positions (GGA-PBE) and Cu Kα X-rays.
No peak broadening, texture or thermal motion is included.

Structure:
```
data_TmIn2Sn
_symmetry_space_group_name_H-M 'P 1'
_symmetry_Int_Tables_number 1
_cell_length_a 4.571
_cell_length_b 4.571
_cell_length_c 4.793
_cell_angle_alpha 90.00
_cell_angle_beta 90.00
_cell_angle_gamma 90.00
loop_
_symmetry_equiv_pos_as_xyz
'x,y,z'
loop_
_atom_site_label
_atom_site_type_symbol
_atom_site_fract_x
_atom_site_fract_y
_atom_site_fract_z
Tm1 Tm 0.000 0.000 0.000
In1 In 0.000 0.500 0.500
In2 In 0.500 0.000 0.500
Sn1 Sn 0.500 0.500 0.000
```

Peak list (10 most intense, 2θ = 15–90°, by angle)
2theta  I/Imax
33.4  100
37.5  18
39.4  32
55.6  23
57.0  11
65.1  14
67.7  26
70.2  12
80.1  2
84.8  4